This entry pairs a crystal structure of ReTe2Se3 with its computed powder X-ray diffraction pattern. Radiation: Cu Kα X-rays. Structure: a GGA-PBE-relaxed structure.

The 10 most intense peaks (10 to 90 degrees two-theta), low angle first:
13.31°, I 32, (0 0 1); 13.41°, I 100, (0 1 0); 14.47°, I 74, (0 1 -1); 30.52°, I 30, (1 2 -1); 32.13°, I 57, (2 -2 0); 34.66°, I 20, (1 1 -3); 34.87°, I 40, (0 1 2); 36.41°, I 21, (2 1 0); 38.42°, I 23, (2 1 -3); 40.69°, I 25, (0 0 3)

Structure:
a b c (Å): 6.965 7.416 7.781
angles (deg): 108.03 110.04 101.98
Space group P-1 (No. 2)
Unique sites:
Re 0.223 0.006 0.020 x2
Te 0.250 0.037 0.387 x2
Te 0.440 0.627 0.693 x2
Se 0.055 0.262 0.962 x2
Se 0.056 0.791 0.643 x2
Se 0.479 0.809 0.065 x2



This entry pairs a crystal structure of Re2TeSe3 with its computed powder X-ray diffraction pattern. Radiation: Cu Kα X-rays. Structure: a GGA-PBE-relaxed structure.

The 10 most intense peaks (10 to 90 degrees two-theta), low angle first:
12.69°, I 100, (0 0 1); 30.08°, I 9, (0 2 0); 30.37°, I 8, (2 2 1); 34.16°, I 20, (2 0 -1); 34.33°, I 22, (2 2 2); 35.36°, I 19, (0 2 -1); 42.02°, I 14, (2 0 -2); 42.25°, I 7, (2 2 3); 47.22°, I 8, (2 2 -2); 47.37°, I 8, (2 0 3)

Structure:
a b c (Å): 6.772 6.961 7.339
angles (deg): 72.71 76.94 61.04
Space group P-1 (No. 2)
Unique sites:
Re 0.011 0.299 0.003 x2
Re 0.426 0.317 0.010 x2
Te 0.157 0.853 0.204 x2
Se 0.111 0.372 0.274 x2
Se 0.344 0.665 0.766 x2
Se 0.376 0.116 0.802 x2



This entry pairs a crystal structure of ReTe2Se3 with its computed powder X-ray diffraction pattern. Radiation: Cu Kα X-rays. Structure: a GGA-PBE-relaxed structure.

The 10 most intense peaks (10 to 90 degrees two-theta), low angle first:
13.90°, I 100, (1 0 0); 17.23°, I 16, (1 0 -1); 28.23°, I 16, (1 2 0); 28.73°, I 26, (0 2 2); 30.72°, I 58, (1 0 2); 33.25°, I 44, (2 2 0); 34.84°, I 55, (-1 2 2); 46.07°, I 17, (3 2 2); 48.37°, I 16, (2 -2 0); 51.40°, I 18, (1 4 2)

Structure:
a b c (Å): 6.790 7.119 8.001
angles (deg): 63.62 89.55 71.79
Space group P-1 (No. 2)
Unique sites:
Re 0.001 0.205 0.003 x2
Te 0.003 0.742 0.521 x2
Te 0.272 0.520 0.324 x2
Se 0.206 0.491 0.897 x2
Se 0.238 0.002 0.855 x2
Se 0.243 0.011 0.306 x2



This entry pairs a crystal structure of ReTe3Se2 with its computed powder X-ray diffraction pattern. Radiation: Cu Kα X-rays. Structure: a GGA-PBE-relaxed structure.

The 10 most intense peaks (10 to 90 degrees two-theta), low angle first:
12.21°, I 21, (0 0 1); 13.77°, I 100, (1 0 0); 28.17°, I 24, (0 2 -2); 30.33°, I 61, (1 0 2); 32.56°, I 49, (2 -2 0); 33.92°, I 16, (2 0 -2); 34.12°, I 43, (1 2 -2); 45.28°, I 19, (3 0 -2); 45.75°, I 19, (3 -2 2); 47.73°, I 18, (2 2 0)

Structure:
a b c (Å): 6.871 7.255 8.177
angles (deg): 115.88 90.68 108.14
Space group P-1 (No. 2)
Unique sites:
Re 0.003 0.196 0.002 x2
Te 0.001 0.269 0.519 x2
Te 0.231 0.525 0.907 x2
Te 0.257 0.010 0.330 x2
Se 0.241 0.452 0.298 x2
Se 0.242 0.000 0.863 x2



This entry pairs a crystal structure of Re7Si with its computed powder X-ray diffraction pattern. Radiation: Cu Kα X-rays. Structure: a GGA-PBE-relaxed structure.

The 10 most intense peaks (10 to 90 degrees two-theta), low angle first:
38.18°, I 30, (0 2 6); 39.96°, I 100, (1 1 4); 41.25°, I 24, (1 3 0); 41.65°, I 51, (1 3 1); 41.82°, I 86, (0 4 4); 42.86°, I 28, (1 3 2); 43.59°, I 42, (1 1 5); 45.62°, I 34, (0 0 8); 65.70°, I 18, (2 0 0); 80.98°, I 26, (2 4 4)

Structure:
a b c (Å): 2.842 10.291 15.909
angles (deg): 90.00 90.00 90.00
Space group Cmcm (No. 63)
Unique sites:
Re 0.000 0.017 0.115 x8
Re 0.000 0.239 0.645 x8
Re 0.000 0.360 0.010 x8
Re 0.000 0.426 0.250 x4
Si 0.000 0.140 0.250 x4



This entry pairs a crystal structure of ReSi2 with its computed powder X-ray diffraction pattern. Radiation: Cu Kα X-rays. Structure: a GGA-PBE-relaxed structure.

The 10 most intense peaks (10 to 90 degrees two-theta), low angle first:
22.66°, I 49, (0 0 2); 30.24°, I 100, (1 0 1); 39.97°, I 57, (1 1 0); 44.81°, I 82, (1 0 3); 46.43°, I 31, (1 1 2); 57.80°, I 19, (2 0 0); 62.77°, I 13, (1 1 4); 66.62°, I 22, (2 1 1); 75.97°, I 35, (2 1 3); 85.90°, I 13, (1 1 6)

Structure:
a b c (Å): 3.190 3.190 7.847
angles (deg): 90.00 90.00 90.00
Space group I4/mmm (No. 139)
Unique sites:
Re 0.000 0.000 0.000 x2
Si 0.000 0.000 0.332 x4